No. 1
KNaMg2I6: simulated PXRD pattern (Cu Kα (λ = 1.5418 Å)), based on a structure optimized by DFT (GGA-PBE).

Principal peaks in the range 10° ≤ 2θ ≤ 90°, most intense first:
2theta	I/Imax	hkl
22.47	1000	1 3 1
26.18	787	3 3 -1
23.57	458	4 0 0
23.40	433	2 0 -2
38.38	395	5 3 1
27.42	391	2 0 2

Atomic structure:
Unit cell a=15.3736 b=14.9553 c=8.0312 alpha=90.00 beta=100.87 gamma=90.00
Space group C2/c (No. 15)
Asymmetric unit:
K (0.0000, 0.0990, 0.2500) [4 per cell]
Na (0.0000, 0.2754, 0.7500) [4 per cell]
Mg (0.1977, 0.4173, 0.2763) [8 per cell]
I (0.1216, 0.0962, 0.6664) [8 per cell]
I (0.1230, 0.2715, 0.1071) [8 per cell]
I (0.1413, 0.4277, 0.5907) [8 per cell]

No. 2
Dy3Mg2Pb: simulated PXRD pattern (Cu Kα (λ = 1.5418 Å)), based on a structure optimized by DFT (GGA-PBE).

Principal peaks in the range 10° ≤ 2θ ≤ 90°, most intense first:
2theta	I/Imax	hkl
33.42	1000	1 1 0
59.72	289	3 0 0
47.99	187	2 0 2
23.46	183	1 0 1
80.03	173	3 1 2
70.21	120	2 2 0

Atomic structure:
Unit cell a=5.3653 b=5.3653 c=6.5594 alpha=90.00 beta=90.00 gamma=120.00
Space group P-3m1 (No. 164)
Asymmetric unit:
Dy (0.0000, 0.0000, 0.0000) [1 per cell]
Dy (0.3333, 0.6667, 0.6642) [2 per cell]
Mg (0.3333, 0.6667, 0.1455) [2 per cell]
Pb (0.0000, 0.0000, 0.5000) [1 per cell]

No. 3
Ac6Rh5: simulated PXRD pattern (Cu Kα (λ = 1.5418 Å)), based on a structure optimized by DFT (GGA-PBE).

Principal peaks in the range 10° ≤ 2θ ≤ 90°, most intense first:
2theta	I/Imax	hkl
29.53	1000	2 0 -2
42.27	505	1 3 -3
25.45	173	0 0 2
25.55	171	1 3 -1
69.54	169	5 3 -3
77.39	145	2 0 -6

Atomic structure:
Unit cell a=7.4201 b=12.8097 c=7.4007 alpha=90.00 beta=109.17 gamma=90.00
Space group C2/m (No. 12)
Asymmetric unit:
Ac (0.2399, 0.0000, 0.2502) [4 per cell]
Ac (0.2418, 0.1722, 0.7419) [8 per cell]
Rh (0.0000, 0.0000, 0.5000) [2 per cell]
Rh (0.0000, 0.1680, 0.0000) [4 per cell]
Rh (0.0000, 0.3432, 0.5000) [4 per cell]

No. 4
Cs3CuCl5: simulated PXRD pattern (Cu Kα (λ = 1.5418 Å)), based on a structure optimized by DFT (GGA-PBE).

Principal peaks in the range 10° ≤ 2θ ≤ 90°, most intense first:
2theta	I/Imax	hkl
27.86	1000	2 1 3
22.43	790	2 0 2
30.20	415	3 1 0
22.06	336	2 1 1
23.86	303	0 0 4
26.94	282	2 2 0

Atomic structure:
Unit cell a=9.3597 b=9.3597 c=14.9148 alpha=90.00 beta=90.00 gamma=90.00
Space group I4/mcm (No. 140)
Asymmetric unit:
Cs (0.0000, 0.0000, 0.2500) [4 per cell]
Cs (0.1677, 0.3323, 0.0000) [8 per cell]
Cu (0.0000, 0.5000, 0.2500) [4 per cell]
Cl (0.0000, 0.0000, 0.0000) [4 per cell]
Cl (0.1332, 0.3668, 0.3455) [16 per cell]